[1]
Diffraction record for Ho2CuRh. The X-ray diffraction stick pattern is theoretical, not measured: it uses a PBE-relaxed structure and a wavelength of 1.5418 Å.
Lines closer than 0.1° are merged.

Principal peaks in the range 10 to 90 degrees two-theta, sorted by position:
2θ (°)  I_rel
22.39  1
25.91  11
36.97  100
43.66  1
45.70  3
53.29  17
60.18  5
66.63  35
78.72  11
84.54  2

Structural model:
```
data_Ho2CuRh
_cell_length_a 4.8625
_cell_length_b 4.8625
_cell_length_c 4.8625
_cell_angle_alpha 60.00
_cell_angle_beta 60.00
_cell_angle_gamma 60.00
_symmetry_space_group_name_H-M 'P 1'
_symmetry_Int_Tables_number 1
_symmetry_space_group_name_Hall 'P 1'
loop_
_atom_site_label
_atom_site_fract_x
_atom_site_fract_y
_atom_site_fract_z
_atom_site_occupancy
Ho1 0.2500 0.2500 0.2500 1
Ho2 0.7500 0.7500 0.7500 1
Cu1 0.0000 0.0000 0.0000 1
Rh1 0.5000 0.5000 0.5000 1
```

[2]
Diffraction record for HoCuS2. The X-ray diffraction stick pattern is theoretical, not measured: it uses a PBE-relaxed structure and a wavelength of 1.5418 Å.
Lines closer than 0.1° are merged.

Principal peaks in the range 10 to 90 degrees two-theta, sorted by position:
2θ (°)  I_rel
15.65  42
24.48  100
26.20  24
27.55  98
33.51  64
39.16  80
39.42  39
46.00  29
46.69  53
52.79  24

Structural model:
```
data_HoCuS2
_cell_length_a 3.9457
_cell_length_b 6.2477
_cell_length_c 13.4177
_cell_angle_alpha 90.00
_cell_angle_beta 90.00
_cell_angle_gamma 90.00
_symmetry_space_group_name_H-M 'P 1'
_symmetry_Int_Tables_number 1
_symmetry_space_group_name_Hall 'P 1'
loop_
_atom_site_label
_atom_site_fract_x
_atom_site_fract_y
_atom_site_fract_z
_atom_site_occupancy
Ho1 0.2423 0.2476 0.3669 1
Ho2 0.2577 0.7524 0.8669 1
Ho3 0.7423 0.2524 0.6331 1
Ho4 0.7577 0.7476 0.1331 1
Cu1 0.2330 0.8712 0.5493 1
Cu2 0.2670 0.1288 0.0493 1
Cu3 0.7330 0.6288 0.4507 1
Cu4 0.7670 0.3712 0.9507 1
S1 0.2413 0.4959 0.5381 1
S2 0.2429 0.0159 0.7063 1
S3 0.2571 0.9841 0.2063 1
S4 0.2587 0.5041 0.0381 1
S5 0.7413 0.0041 0.4619 1
S6 0.7429 0.4841 0.2937 1
S7 0.7571 0.5159 0.7937 1
S8 0.7587 0.9959 0.9619 1
```

[3]
Diffraction record for HoCuS2. The X-ray diffraction stick pattern is theoretical, not measured: it uses a PBE-relaxed structure and a wavelength of 1.5418 Å.
Lines closer than 0.1° are merged.

Principal peaks in the range 10 to 90 degrees two-theta, sorted by position:
2θ (°)  I_rel
15.66  42
24.52  100
26.22  24
27.56  95
33.54  58
39.19  82
39.47  38
46.01  31
46.77  53
52.82  24

Structural model:
```
data_HoCuS2
_cell_length_a 13.3908
_cell_length_b 3.9450
_cell_length_c 6.2425
_cell_angle_alpha 90.00
_cell_angle_beta 90.00
_cell_angle_gamma 90.00
_symmetry_space_group_name_H-M 'P 1'
_symmetry_Int_Tables_number 1
_symmetry_space_group_name_Hall 'P 1'
loop_
_atom_site_label
_atom_site_fract_x
_atom_site_fract_y
_atom_site_fract_z
_atom_site_occupancy
Ho1 0.1333 0.2500 0.0007 1
Ho2 0.3667 0.7500 0.5007 1
Ho3 0.6333 0.2500 0.4993 1
Ho4 0.8667 0.7500 0.9993 1
Cu1 0.0448 0.7500 0.3729 1
Cu2 0.4552 0.2500 0.8729 1
Cu3 0.5448 0.7500 0.1271 1
Cu4 0.9552 0.2500 0.6271 1
S1 0.0399 0.7500 0.7535 1
S2 0.2049 0.7500 0.2392 1
S3 0.2951 0.2500 0.7392 1
S4 0.4601 0.2500 0.2535 1
S5 0.5399 0.7500 0.7465 1
S6 0.7049 0.7500 0.2608 1
S7 0.7951 0.2500 0.7608 1
S8 0.9601 0.2500 0.2465 1
```

[4]
Diffraction record for HoCu3S3. The X-ray diffraction stick pattern is theoretical, not measured: it uses a PBE-relaxed structure and a wavelength of 1.5418 Å.
Lines closer than 0.1° are merged.

Principal peaks in the range 10 to 90 degrees two-theta, sorted by position:
2θ (°)  I_rel
26.85  19
27.96  18
29.73  100
32.06  19
38.01  79
46.73  60
56.37  16
61.74  18
63.63  23
80.86  17

Structural model:
```
data_HoCu3S3
_cell_length_a 3.8881
_cell_length_b 3.8881
_cell_length_c 19.9741
_cell_angle_alpha 90.00
_cell_angle_beta 90.00
_cell_angle_gamma 120.00
_symmetry_space_group_name_H-M 'P 1'
_symmetry_Int_Tables_number 1
_symmetry_space_group_name_Hall 'P 1'
loop_
_atom_site_label
_atom_site_fract_x
_atom_site_fract_y
_atom_site_fract_z
_atom_site_occupancy
Ho1 0.0000 0.0000 0.1650 1
Ho2 0.0000 0.0000 0.8350 1
Cu1 0.3333 0.6667 0.0460 1
Cu2 0.3333 0.6667 0.4082 1
Cu3 0.3333 0.6667 0.7118 1
Cu4 0.6667 0.3333 0.2882 1
Cu5 0.6667 0.3333 0.5918 1
Cu6 0.6667 0.3333 0.9540 1
S1 0.3333 0.6667 0.2419 1
S2 0.3333 0.6667 0.5981 1
S3 0.3333 0.6667 0.9217 1
S4 0.6667 0.3333 0.0783 1
S5 0.6667 0.3333 0.4019 1
S6 0.6667 0.3333 0.7581 1
```

[5]
Diffraction record for HoCu3S3. The X-ray diffraction stick pattern is theoretical, not measured: it uses a PBE-relaxed structure and a wavelength of 1.5418 Å.
Lines closer than 0.1° are merged.

Principal peaks in the range 10 to 90 degrees two-theta, sorted by position:
2θ (°)  I_rel
15.94  28
17.88  21
30.12  100
39.06  75
46.88  56
51.04  17
56.74  17
62.61  18
65.30  20
81.75  16

Structural model:
```
data_HoCu3S3
_cell_length_a 7.4358
_cell_length_b 7.4358
_cell_length_c 7.4358
_cell_angle_alpha 53.67
_cell_angle_beta 53.67
_cell_angle_gamma 53.67
_symmetry_space_group_name_H-M 'P 1'
_symmetry_Int_Tables_number 1
_symmetry_space_group_name_Hall 'P 1'
loop_
_atom_site_label
_atom_site_fract_x
_atom_site_fract_y
_atom_site_fract_z
_atom_site_occupancy
Ho1 0.1666 0.1666 0.1666 1
Ho2 0.8334 0.8334 0.8334 1
Cu1 0.0420 0.7128 0.3774 1
Cu2 0.2871 0.6226 0.9580 1
Cu3 0.3774 0.0420 0.7129 1
Cu4 0.6226 0.9580 0.2871 1
Cu5 0.7129 0.3774 0.0420 1
Cu6 0.9580 0.2871 0.6226 1
S1 0.0830 0.4177 0.7504 1
S2 0.2496 0.9170 0.5823 1
S3 0.4177 0.7504 0.0830 1
S4 0.5823 0.2496 0.9170 1
S5 0.7504 0.0830 0.4177 1
S6 0.9170 0.5823 0.2496 1
```

[6]
Diffraction record for Ho3Cu3Sb4. The X-ray diffraction stick pattern is theoretical, not measured: it uses a PBE-relaxed structure and a wavelength of 1.5418 Å.
Lines closer than 0.1° are merged.

Principal peaks in the range 10 to 90 degrees two-theta, sorted by position:
2θ (°)  I_rel
29.55  55
35.12  100
42.27  37
44.45  12
46.53  16
48.55  10
59.61  19
61.32  13
63.01  9
72.67  15

Structural model:
```
data_Ho3Cu3Sb4
_cell_length_a 8.2799
_cell_length_b 8.2799
_cell_length_c 8.2799
_cell_angle_alpha 109.47
_cell_angle_beta 109.47
_cell_angle_gamma 109.47
_symmetry_space_group_name_H-M 'P 1'
_symmetry_Int_Tables_number 1
_symmetry_space_group_name_Hall 'P 1'
loop_
_atom_site_label
_atom_site_fract_x
_atom_site_fract_y
_atom_site_fract_z
_atom_site_occupancy
Ho1 0.1250 0.8750 0.2500 1
Ho2 0.2500 0.1250 0.8750 1
Ho3 0.3750 0.6250 0.7500 1
Ho4 0.6250 0.7500 0.3750 1
Ho5 0.7500 0.3750 0.6250 1
Ho6 0.8750 0.2500 0.1250 1
Cu1 0.1250 0.7500 0.8750 1
Cu2 0.2500 0.6250 0.3750 1
Cu3 0.3750 0.2500 0.6250 1
Cu4 0.6250 0.3750 0.2500 1
Cu5 0.7500 0.8750 0.1250 1
Cu6 0.8750 0.1250 0.7500 1
Sb1 0.0000 0.1598 0.5000 1
Sb2 0.0000 0.6598 0.5000 1
Sb3 0.1598 0.5000 0.0000 1
Sb4 0.3402 0.3402 0.3402 1
Sb5 0.5000 0.0000 0.1598 1
Sb6 0.5000 0.0000 0.6598 1
Sb7 0.6598 0.5000 0.0000 1
Sb8 0.8402 0.8402 0.8402 1
```

[7]
Diffraction record for HoCuSe2. The X-ray diffraction stick pattern is theoretical, not measured: it uses a PBE-relaxed structure and a wavelength of 1.5418 Å.
Lines closer than 0.1° are merged.

Principal peaks in the range 10 to 90 degrees two-theta, sorted by position:
2θ (°)  I_rel
13.98  11
25.93  34
29.57  62
38.66  100
45.73  49
50.75  10
55.40  11
61.38  25
77.05  19
79.80  23

Structural model:
```
data_HoCuSe2
_cell_length_a 3.9684
_cell_length_b 3.9684
_cell_length_c 6.3344
_cell_angle_alpha 90.00
_cell_angle_beta 90.00
_cell_angle_gamma 120.00
_symmetry_space_group_name_H-M 'P 1'
_symmetry_Int_Tables_number 1
_symmetry_space_group_name_Hall 'P 1'
loop_
_atom_site_label
_atom_site_fract_x
_atom_site_fract_y
_atom_site_fract_z
_atom_site_occupancy
Ho1 0.0000 0.0000 0.0000 1
Cu1 0.0000 0.0000 0.5000 1
Se1 0.3333 0.6667 0.7307 1
Se2 0.6667 0.3333 0.2693 1
```

[8]
Diffraction record for HoCuSe2. The X-ray diffraction stick pattern is theoretical, not measured: it uses a PBE-relaxed structure and a wavelength of 1.5418 Å.
Lines closer than 0.1° are merged.

Principal peaks in the range 10 to 90 degrees two-theta, sorted by position:
2θ (°)  I_rel
13.80  27
28.85  100
37.88  63
44.41  50
49.84  24
53.82  17
59.76  17
62.97  11
72.26  14
77.40  16

Structural model:
```
data_HoCuSe2
_cell_length_a 4.0801
_cell_length_b 4.0801
_cell_length_c 6.4154
_cell_angle_alpha 90.00
_cell_angle_beta 90.00
_cell_angle_gamma 120.00
_symmetry_space_group_name_H-M 'P 1'
_symmetry_Int_Tables_number 1
_symmetry_space_group_name_Hall 'P 1'
loop_
_atom_site_label
_atom_site_fract_x
_atom_site_fract_y
_atom_site_fract_z
_atom_site_occupancy
Ho1 0.0000 0.0000 0.0000 1
Cu1 0.3333 0.6667 0.3838 1
Se1 0.3333 0.6667 0.7638 1
Se2 0.6667 0.3333 0.2706 1
```

[9]
Diffraction record for HoCu2Si2. The X-ray diffraction stick pattern is theoretical, not measured: it uses a PBE-relaxed structure and a wavelength of 1.5418 Å.
Lines closer than 0.1° are merged.

Principal peaks in the range 10 to 90 degrees two-theta, sorted by position:
2θ (°)  I_rel
24.20  44
35.21  46
35.92  17
36.82  100
45.89  36
51.18  18
59.12  21
59.60  15
65.15  15
78.89  20

Structural model:
```
data_HoCu2Si2
_cell_length_a 5.7296
_cell_length_b 5.7296
_cell_length_c 5.7296
_cell_angle_alpha 139.62
_cell_angle_beta 139.62
_cell_angle_gamma 58.44
_symmetry_space_group_name_H-M 'P 1'
_symmetry_Int_Tables_number 1
_symmetry_space_group_name_Hall 'P 1'
loop_
_atom_site_label
_atom_site_fract_x
_atom_site_fract_y
_atom_site_fract_z
_atom_site_occupancy
Ho1 0.0000 0.0000 0.0000 1
Cu1 0.2500 0.7500 0.5000 1
Cu2 0.7500 0.2500 0.5000 1
Si1 0.3830 0.3830 0.0000 1
Si2 0.6170 0.6170 0.0000 1
```

[10]
Diffraction record for Ho2ZnCuSi2. The X-ray diffraction stick pattern is theoretical, not measured: it uses a PBE-relaxed structure and a wavelength of 1.5418 Å.
Lines closer than 0.1° are merged.

Principal peaks in the range 10 to 90 degrees two-theta, sorted by position:
2θ (°)  I_rel
25.32  32
33.99  100
44.62  34
45.50  11
52.78  9
57.26  22
65.63  21
75.37  19
76.65  9
82.23  6

Structural model:
```
data_Ho2ZnCuSi2
_cell_length_a 3.9871
_cell_length_b 4.0612
_cell_length_c 7.0345
_cell_angle_alpha 90.00
_cell_angle_beta 90.00
_cell_angle_gamma 90.00
_symmetry_space_group_name_H-M 'P 1'
_symmetry_Int_Tables_number 1
_symmetry_space_group_name_Hall 'P 1'
loop_
_atom_site_label
_atom_site_fract_x
_atom_site_fract_y
_atom_site_fract_z
_atom_site_occupancy
Ho1 0.0000 0.0000 0.0000 1
Ho2 0.0000 0.5000 0.4931 1
Zn1 0.5000 0.5000 0.8320 1
Cu1 0.5000 0.0000 0.3289 1
Si1 0.5000 0.0000 0.6563 1
Si2 0.5000 0.5000 0.1695 1
```

[11]
Diffraction record for HoCu5Sn. The X-ray diffraction stick pattern is theoretical, not measured: it uses a PBE-relaxed structure and a wavelength of 1.5418 Å.
Lines closer than 0.1° are merged.

Principal peaks in the range 10 to 90 degrees two-theta, sorted by position:
2θ (°)  I_rel
31.04  35
32.94  25
35.66  48
35.94  40
38.16  78
38.45  100
43.24  35
44.60  46
45.86  44
66.10  32

Structural model:
```
data_HoCu5Sn
_cell_length_a 8.2131
_cell_length_b 4.9969
_cell_length_c 10.5795
_cell_angle_alpha 90.00
_cell_angle_beta 90.00
_cell_angle_gamma 90.00
_symmetry_space_group_name_H-M 'P 1'
_symmetry_Int_Tables_number 1
_symmetry_space_group_name_Hall 'P 1'
loop_
_atom_site_label
_atom_site_fract_x
_atom_site_fract_y
_atom_site_fract_z
_atom_site_occupancy
Ho1 0.2490 0.2500 0.0628 1
Ho2 0.2510 0.7500 0.5628 1
Ho3 0.7490 0.2500 0.4372 1
Ho4 0.7510 0.7500 0.9372 1
Cu1 0.0587 0.7500 0.1017 1
Cu2 0.0658 0.0018 0.3130 1
Cu3 0.0658 0.4982 0.3130 1
Cu4 0.0867 0.2500 0.5176 1
Cu5 0.1860 0.2500 0.7446 1
Cu6 0.3140 0.7500 0.2446 1
Cu7 0.4133 0.7500 0.0176 1
Cu8 0.4342 0.5018 0.8130 1
Cu9 0.4342 0.9982 0.8130 1
Cu10 0.4413 0.2500 0.6017 1
Cu11 0.5587 0.7500 0.3983 1
Cu12 0.5658 0.0018 0.1870 1
Cu13 0.5658 0.4982 0.1870 1
Cu14 0.5867 0.2500 0.9824 1
Cu15 0.6860 0.2500 0.7554 1
Cu16 0.8140 0.7500 0.2554 1
Cu17 0.9133 0.7500 0.4824 1
Cu18 0.9342 0.5018 0.6870 1
Cu19 0.9342 0.9982 0.6870 1
Cu20 0.9413 0.2500 0.8983 1
Sn1 0.1396 0.7500 0.8611 1
Sn2 0.3604 0.2500 0.3611 1
Sn3 0.6396 0.7500 0.6389 1
Sn4 0.8604 0.2500 0.1389 1
```

[12]
Diffraction record for Ho2CuTc. The X-ray diffraction stick pattern is theoretical, not measured: it uses a PBE-relaxed structure and a wavelength of 1.5418 Å.
Lines closer than 0.1° are merged.

Principal peaks in the range 10 to 90 degrees two-theta, sorted by position:
2θ (°)  I_rel
22.44  1
25.97  12
37.05  100
43.75  1
45.80  4
53.40  17
60.31  5
66.77  35
78.90  11
84.75  3

Structural model:
```
data_Ho2CuTc
_cell_length_a 4.8529
_cell_length_b 4.8529
_cell_length_c 4.8529
_cell_angle_alpha 60.00
_cell_angle_beta 60.00
_cell_angle_gamma 60.00
_symmetry_space_group_name_H-M 'P 1'
_symmetry_Int_Tables_number 1
_symmetry_space_group_name_Hall 'P 1'
loop_
_atom_site_label
_atom_site_fract_x
_atom_site_fract_y
_atom_site_fract_z
_atom_site_occupancy
Ho1 0.2500 0.2500 0.2500 1
Ho2 0.7500 0.7500 0.7500 1
Cu1 0.0000 0.0000 0.0000 1
Tc1 0.5000 0.5000 0.5000 1
```

[13]
Diffraction record for HoCuTe2. The X-ray diffraction stick pattern is theoretical, not measured: it uses a PBE-relaxed structure and a wavelength of 1.5418 Å.
Lines closer than 0.1° are merged.

Principal peaks in the range 10 to 90 degrees two-theta, sorted by position:
2θ (°)  I_rel
23.96  13
27.47  93
36.13  100
42.15  59
47.54  15
51.05  17
56.70  27
68.28  14
71.52  20
73.11  25

Structural model:
```
data_HoCuTe2
_cell_length_a 4.2879
_cell_length_b 4.2879
_cell_length_c 6.6937
_cell_angle_alpha 90.00
_cell_angle_beta 90.00
_cell_angle_gamma 120.00
_symmetry_space_group_name_H-M 'P 1'
_symmetry_Int_Tables_number 1
_symmetry_space_group_name_Hall 'P 1'
loop_
_atom_site_label
_atom_site_fract_x
_atom_site_fract_y
_atom_site_fract_z
_atom_site_occupancy
Ho1 0.0000 0.0000 0.0000 1
Cu1 0.0000 0.0000 0.5000 1
Te1 0.3333 0.6667 0.2719 1
Te2 0.6667 0.3333 0.7281 1
```